For InHg2Pb2, a DFT-relaxed cell (PBE, Alexandria) gives the simulated PXRD pattern in this record (Cu Kα (λ = 1.5418 Å)).

Main lines, sorted by position (2θ = 10–90°):
d 8.802, 2θ = 10.05°, rel. 19
d 4.027, 2θ = 22.07°, rel. 27
d 3.381, 2θ = 26.36°, rel. 23
d 2.933, 2θ = 30.47°, rel. 29
d 2.776, 2θ = 32.25°, rel. 100
d 2.681, 2θ = 33.42°, rel. 60
d 2.436, 2θ = 36.90°, rel. 62
d 2.069, 2θ = 43.76°, rel. 48
d 1.691, 2θ = 54.26°, rel. 22
d 1.638, 2θ = 56.16°, rel. 28
d 1.508, 2θ = 61.49°, rel. 48
d 1.294, 2θ = 73.14°, rel. 19

Atomic structure:
```
InHg2Pb2
1.0
-2.068 2.068 8.802
2.068 -2.068 8.802
2.068 2.068 -8.802
In Hg Pb
1 2 2
Direct
0.000 0.000 0.000 In
0.250 0.750 0.500 Hg
0.750 0.250 0.500 Hg
0.401 0.401 0.000 Pb
0.599 0.599 0.000 Pb
```


For In6Hg9Pb, a DFT-relaxed cell (PBE, Alexandria) gives the simulated PXRD pattern in this record (Cu Kα (λ = 1.5418 Å)).

Main lines, sorted by position (2θ = 10–90°):
d 2.811, 2θ = 31.84°, rel. 77
d 2.801, 2θ = 31.95°, rel. 36
d 2.745, 2θ = 32.62°, rel. 100
d 2.737, 2θ = 32.72°, rel. 20
d 2.685, 2θ = 33.37°, rel. 42
d 2.666, 2θ = 33.62°, rel. 22
d 2.600, 2θ = 34.49°, rel. 22
d 2.583, 2θ = 34.74°, rel. 37
d 2.500, 2θ = 35.91°, rel. 15
d 2.082, 2θ = 43.46°, rel. 25
d 1.828, 2θ = 49.90°, rel. 11
d 1.477, 2θ = 62.92°, rel. 12

Atomic structure:
```
In6Hg9Pb
1.0
8.299 0.000 0.000
-0.444 8.360 0.000
-3.913 -4.188 6.247
In Hg Pb
6 9 1
Direct
0.142 0.160 0.005 In
0.243 0.743 0.480 In
0.356 0.637 0.013 In
0.644 0.363 0.987 In
0.757 0.257 0.520 In
0.858 0.840 0.995 In
0.000 0.500 0.000 Hg
0.002 0.692 0.676 Hg
0.185 0.178 0.664 Hg
0.321 0.023 0.332 Hg
0.465 0.493 0.661 Hg
0.535 0.507 0.339 Hg
0.679 0.977 0.668 Hg
0.815 0.822 0.336 Hg
0.998 0.308 0.324 Hg
0.500 0.000 0.000 Pb
```


For In14Hg9Pb2, a DFT-relaxed cell (PBE, Alexandria) gives the simulated PXRD pattern in this record (Cu Kα (λ = 1.5418 Å)).

Main lines, sorted by position (2θ = 10–90°):
d 2.981, 2θ = 29.98°, rel. 55
d 2.878, 2θ = 31.08°, rel. 26
d 2.799, 2θ = 31.98°, rel. 100
d 2.794, 2θ = 32.04°, rel. 51
d 2.764, 2θ = 32.39°, rel. 43
d 2.755, 2θ = 32.51°, rel. 30
d 2.719, 2θ = 32.94°, rel. 72
d 2.660, 2θ = 33.70°, rel. 34
d 2.595, 2θ = 34.57°, rel. 56
d 2.576, 2θ = 34.83°, rel. 42
d 2.558, 2θ = 35.09°, rel. 45
d 2.124, 2θ = 42.55°, rel. 22

Atomic structure:
```
In14Hg9Pb2
1.0
5.921 0.000 0.000
2.197 7.704 0.000
0.298 0.217 14.905
In Hg Pb
14 9 2
Direct
0.005 0.159 0.435 In
0.060 0.627 0.160 In
0.097 0.972 0.768 In
0.283 0.893 0.965 In
0.352 0.569 0.793 In
0.405 0.054 0.602 In
0.435 0.360 0.430 In
0.565 0.640 0.570 In
0.595 0.946 0.398 In
0.648 0.431 0.207 In
0.717 0.107 0.035 In
0.903 0.028 0.232 In
0.940 0.373 0.840 In
0.995 0.841 0.565 In
0.132 0.280 0.036 Hg
0.147 0.454 0.617 Hg
0.233 0.741 0.367 Hg
0.263 0.246 0.245 Hg
0.500 0.500 0.000 Hg
0.737 0.754 0.755 Hg
0.767 0.259 0.633 Hg
0.853 0.546 0.383 Hg
0.868 0.720 0.964 Hg
0.472 0.849 0.171 Pb
0.528 0.151 0.829 Pb
```